For SbC2N2F5, a PBE-relaxed structure gives the simulated powder XRD pattern in this record (CuKα).
Lines closer than 0.1° are merged.

Atomic structure:
```
data_SbC2N2F5
_symmetry_space_group_name_H-M 'C 2 2 21'
_symmetry_Int_Tables_number 20
_symmetry_space_group_name_Hall 'C 2c 2'
_cell_length_a 7.086
_cell_length_b 16.692
_cell_length_c 6.867
_cell_angle_alpha 90.00
_cell_angle_beta 90.00
_cell_angle_gamma 90.00
loop_
_atom_site_label
_atom_site_type_symbol
_atom_site_fract_x
_atom_site_fract_y
_atom_site_fract_z
Sb1 Sb 0.000 0.132 0.250
C1 C 0.000 0.337 0.250
C2 C 0.000 0.418 0.250
N1 N 0.000 0.267 0.250
N2 N 0.000 0.488 0.250
F1 F 0.000 0.019 0.250
F2 F 0.179 0.145 0.045
F3 F 0.198 0.144 0.434
```

The 10 most intense peaks (2θ = 10–90°), most intense first:
two_theta  d/Å  I (rel.)  h k l
18.76  4.729  100  1 1 1
16.72  5.303  57  0 2 1
13.58  6.522  43  1 1 0
36.44  2.466  27  2 0 2
21.29  4.173  26  0 4 0
20.29  4.376  25  1 3 0
24.12  3.690  23  1 3 1
25.14  3.543  13  2 0 0
43.39  2.086  12  0 8 0
30.34  2.946  11  2 2 1